[1]
# SmBiPt10
Simulated X-ray powder pattern, CuKα. Input: a structure optimized by DFT (GGA-PBE).
Neutral-atom scattering factors, no anomalous dispersion.

a b c (Å): 4.479 5.403 9.286
angles (deg): 90.00 90.00 90.00
Space group Pmmm (No. 47)
One atom of each set of equivalent atoms:
Sm: 0.000 0.000 0.000 [1 per cell]
Bi: 0.000 0.500 0.500 [1 per cell]
Pt: 0.000 0.000 0.335 [2 per cell]
Pt: 0.000 0.500 0.169 [2 per cell]
Pt: 0.500 0.000 0.500 [1 per cell]
Pt: 0.500 0.247 0.246 [4 per cell]
Pt: 0.500 0.500 0.000 [1 per cell]

Main lines, sorted by position (2θ = 10–90°):
2θ (°), I_rel
19.00, 22
27.62, 21
38.56, 29
38.93, 51
39.11, 100
40.27, 53
43.72, 45
43.93, 22
56.98, 19
63.24, 25
70.07, 21
84.04, 26

---

[2]
# Tb3PmDy7
Simulated X-ray powder pattern, CuKα. Input: a structure optimized by DFT (GGA-PBE).
Neutral-atom scattering factors, no anomalous dispersion.

a b c (Å): 6.951 5.541 9.912
angles (deg): 90.00 109.96 90.00
Space group P2/m (No. 10)
One atom of each set of equivalent atoms:
Tb: 0.000 0.000 0.000 [1 per cell]
Tb: 0.221 0.500 0.502 [2 per cell]
Pm: 0.500 0.000 0.000 [1 per cell]
Dy: 0.079 0.000 0.669 [2 per cell]
Dy: 0.177 0.500 0.858 [2 per cell]
Dy: 0.353 0.500 0.210 [2 per cell]
Dy: 0.500 0.000 0.500 [1 per cell]

Main lines, sorted by position (2θ = 10–90°):
2θ (°), I_rel
31.57, 28
31.79, 100
31.96, 82
32.31, 87
33.07, 68
46.10, 15
46.33, 16
52.66, 20
57.30, 19
58.11, 14
58.38, 17
63.15, 23

---

[3]
# HoGaAgHg
Simulated X-ray powder pattern, CuKα. Input: a structure optimized by DFT (GGA-PBE).
Neutral-atom scattering factors, no anomalous dispersion.

a b c (Å): 6.950 6.950 6.950
angles (deg): 90.00 90.00 90.00
Space group F-43m (No. 216)
One atom of each set of equivalent atoms:
Ho: 0.000 0.000 0.000 [4 per cell]
Ga: 0.250 0.250 0.750 [4 per cell]
Ag: 0.000 0.000 0.500 [4 per cell]
Hg: 0.250 0.250 0.250 [4 per cell]

Main lines, sorted by position (2θ = 10–90°):
2θ (°), I_rel
22.15, 14
36.57, 100
43.17, 8
52.68, 17
57.83, 4
65.83, 35
70.39, 3
77.73, 11
82.03, 3
89.10, 16

---

[4]
# Tb2ScBi3
Simulated X-ray powder pattern, CuKα. Input: a structure optimized by DFT (GGA-PBE).
Neutral-atom scattering factors, no anomalous dispersion.

a b c (Å): 7.657 13.272 7.652
angles (deg): 90.00 109.51 90.00
Space group C2/m (No. 12)
One atom of each set of equivalent atoms:
Tb: 0.000 0.000 0.000 [2 per cell]
Tb: 0.000 0.163 0.500 [4 per cell]
Tb: 0.000 0.500 0.500 [2 per cell]
Sc: 0.000 0.332 0.000 [4 per cell]
Bi: 0.236 0.500 0.237 [4 per cell]
Bi: 0.248 0.329 0.759 [8 per cell]

Main lines, sorted by position (2θ = 10–90°):
2θ (°), I_rel
24.65, 7
24.68, 6
28.56, 100
40.83, 77
48.28, 7
50.58, 28
59.11, 13
66.94, 35
74.31, 20
74.39, 6
88.42, 4
88.51, 4

---

[5]
# Pd2S3Br
Simulated X-ray powder pattern, CuKα. Input: a structure optimized by DFT (GGA-PBE).
Neutral-atom scattering factors, no anomalous dispersion.

a b c (Å): 12.667 7.277 6.288
angles (deg): 90.00 110.57 90.00
Space group C2/m (No. 12)
One atom of each set of equivalent atoms:
Pd: 0.000 0.000 0.000 [2 per cell]
Pd: 0.000 0.500 0.000 [2 per cell]
Pd: 0.250 0.250 0.000 [4 per cell]
S: 0.054 0.245 0.810 [8 per cell]
S: 0.203 0.500 0.176 [4 per cell]
Br: 0.205 0.000 0.431 [4 per cell]

Main lines, sorted by position (2θ = 10–90°):
2θ (°), I_rel
15.05, 88
30.00, 100
30.14, 37
30.36, 19
34.58, 14
35.10, 19
38.09, 27
38.50, 24
46.26, 15
49.95, 25
50.20, 41
52.68, 20

---

[6]
# Ti4BeZnCo2
Simulated X-ray powder pattern, CuKα. Input: a structure optimized by DFT (GGA-PBE).
Neutral-atom scattering factors, no anomalous dispersion.

a b c (Å): 4.1955 4.1955 21.7537
angles (deg): 90.00 90.00 120.00
Space group R-3m (No. 166, hexagonal axes)
One atom of each set of equivalent atoms:
Ti: 0.0000 0.0000 0.1197 [6 per cell]
Ti: 0.0000 0.0000 0.3734 [6 per cell]
Be: 0.0000 0.0000 0.0000 [3 per cell]
Zn: 0.0000 0.0000 0.5000 [3 per cell]
Co: 0.0000 0.0000 0.2610 [6 per cell]

Main lines, sorted by position (2θ = 10–90°):
2θ (°), I_rel
24.84, 15
25.85, 5
32.10, 23
41.48, 100
43.12, 100
54.76, 5
58.24, 7
60.96, 8
61.37, 28
74.52, 11
77.94, 27
79.07, 14

---

[7]
# Tb4Ru3Au
Simulated X-ray powder pattern, CuKα. Input: a structure optimized by DFT (GGA-PBE).
Neutral-atom scattering factors, no anomalous dispersion.

a b c (Å): 4.889 4.889 6.948
angles (deg): 90.00 90.00 90.00
Space group P4/mmm (No. 123)
One atom of each set of equivalent atoms:
Tb: 0.000 0.500 0.242 [4 per cell]
Ru: 0.000 0.000 0.000 [1 per cell]
Ru: 0.000 0.000 0.500 [1 per cell]
Ru: 0.500 0.500 0.000 [1 per cell]
Au: 0.500 0.500 0.500 [1 per cell]

Main lines, sorted by position (2θ = 10–90°):
2θ (°), I_rel
18.15, 1
22.23, 2
28.85, 2
36.71, 100
52.70, 6
52.98, 12
65.98, 12
66.16, 24
77.99, 7
78.21, 4
89.20, 5
89.67, 11

---

[8]
# Co5Sn2As2
Simulated X-ray powder pattern, CuKα. Input: a structure optimized by DFT (GGA-PBE).
Neutral-atom scattering factors, no anomalous dispersion.

a b c (Å): 4.0901 4.0901 9.5882
angles (deg): 90.00 90.00 120.00
Space group P-6m2 (No. 187)
One atom of each set of equivalent atoms:
Co: 0.0000 0.0000 0.0000 [1 per cell]
Co: 0.3333 0.6667 0.1326 [2 per cell]
Co: 0.3333 0.6667 0.3702 [2 per cell]
Sn: 0.6667 0.3333 0.0000 [1 per cell]
Sn: 0.6667 0.3333 0.5000 [1 per cell]
As: 0.0000 0.0000 0.2549 [2 per cell]

Main lines, sorted by position (2θ = 10–90°):
2θ (°), I_rel
18.51, 10
31.40, 96
44.29, 100
45.70, 82
55.30, 20
59.41, 9
63.91, 12
65.53, 27
73.43, 18
81.05, 6
81.53, 16
82.53, 28

---

[9]
# La2Be3Cu12Ni
Simulated X-ray powder pattern, CuKα. Input: a structure optimized by DFT (GGA-PBE).
Neutral-atom scattering factors, no anomalous dispersion.

a b c (Å): 7.6191 7.6191 17.4478
angles (deg): 90.00 90.00 120.00
Space group R-3m (No. 166, hexagonal axes)
One atom of each set of equivalent atoms:
La: 0.0000 0.0000 0.1129 [6 per cell]
Be: 0.0000 0.5000 0.0000 [9 per cell]
Cu: 0.0098 0.5049 0.1192 [18 per cell]
Cu: 0.0447 0.5223 0.3575 [18 per cell]
Ni: 0.0000 0.0000 0.5000 [3 per cell]

Main lines, sorted by position (2θ = 10–90°):
2θ (°), I_rel
28.00, 21
28.94, 20
34.07, 100
36.39, 12
37.51, 36
47.75, 51
50.14, 33
59.95, 15
69.14, 12
71.74, 12
76.64, 11
80.03, 11

---

[10]
# LuAlO3
Simulated X-ray powder pattern, CuKα. Input: a structure optimized by DFT (GGA-PBE).
Neutral-atom scattering factors, no anomalous dispersion.

a b c (Å): 5.366 7.344 5.113
angles (deg): 90.00 90.00 90.00
Space group Pnma (No. 62)
One atom of each set of equivalent atoms:
Lu: 0.065 0.250 0.017 [4 per cell]
Al: 0.000 0.000 0.500 [4 per cell]
O: 0.032 0.750 0.398 [4 per cell]
O: 0.199 0.553 0.802 [8 per cell]

Main lines, sorted by position (2θ = 10–90°):
2θ (°), I_rel
24.04, 62
24.24, 39
26.97, 30
33.40, 17
34.40, 100
35.10, 25
35.63, 21
43.11, 26
49.23, 17
50.88, 19
55.89, 39
62.52, 22

---

[11]
# ScGe2Pt6
Simulated X-ray powder pattern, CuKα. Input: a structure optimized by DFT (GGA-PBE).
Neutral-atom scattering factors, no anomalous dispersion.

a b c (Å): 3.678 11.170 7.404
angles (deg): 90.00 90.00 90.00
Space group Amm2 (No. 38)
One atom of each set of equivalent atoms:
Sc: 0.000 0.000 0.000 [2 per cell]
Ge: 0.500 0.130 0.712 [4 per cell]
Pt: 0.000 0.000 0.579 [2 per cell]
Pt: 0.000 0.186 0.318 [4 per cell]
Pt: 0.500 0.000 0.278 [2 per cell]
Pt: 0.500 0.186 0.031 [4 per cell]

Main lines, sorted by position (2θ = 10–90°):
2θ (°), I_rel
14.35, 22
26.80, 21
28.25, 21
36.42, 76
37.31, 17
38.07, 100
42.25, 15
44.02, 26
48.92, 15
49.26, 34
49.57, 26
77.55, 32

---

[12]
# K3Sn7Pt2
Simulated X-ray powder pattern, CuKα. Input: a structure optimized by DFT (GGA-PBE).
Neutral-atom scattering factors, no anomalous dispersion.

a b c (Å): 5.165 30.046 4.982
angles (deg): 90.00 90.00 90.00
Space group Cmmm (No. 65)
One atom of each set of equivalent atoms:
K: 0.000 0.000 0.000 [2 per cell]
K: 0.000 0.208 0.000 [4 per cell]
Sn: 0.000 0.117 0.500 [4 per cell]
Sn: 0.000 0.318 0.500 [4 per cell]
Sn: 0.000 0.382 0.000 [4 per cell]
Sn: 0.000 0.500 0.500 [2 per cell]
Pt: 0.000 0.417 0.500 [4 per cell]

Main lines, sorted by position (2θ = 10–90°):
2θ (°), I_rel
11.78, 100
17.42, 83
17.80, 67
29.00, 59
29.75, 37
32.54, 39
34.74, 60
36.05, 54
40.31, 40
41.56, 57
46.76, 35
50.93, 41